(1)
Simulated powder XRD pattern of Y2ZnAs2O for copper Kα, from a GGA-PBE-relaxed structure.

```
data_Y2ZnAs2O
_chemical_formula_sum 'Y2 Zn1 As2 O1'
_space_group_name_H-M_alt 'P 4/m m m'
_space_group_IT_number 123
_space_group_name_Hall '-P 4 2'
_cell_length_a 3.3260
_cell_length_b 3.3260
_cell_length_c 14.6843
_cell_angle_alpha 90.00
_cell_angle_beta 90.00
_cell_angle_gamma 90.00
loop_
_atom_site_label
_atom_site_type_symbol
_atom_site_fract_x
_atom_site_fract_y
_atom_site_fract_z
Y1 Y 0.0000 0.0000 0.1373
Zn1 Zn 0.0000 0.0000 0.5000
As1 As 0.0000 0.0000 0.3405
O1 O 0.0000 0.0000 0.0000
```

Top 8 peaks for 2θ from 10° to 90°, most intense first:
2θ/deg  I/Imax
26.8  100
38.3  38
46.0  25
62.4  17
36.5  16
54.1  15
55.2  13
24.2  12

(2)
Simulated powder XRD pattern of BaNaTbBiO6 for copper Kα, from a GGA-PBE-relaxed structure.

```
data_BaNaTbBiO6
_chemical_formula_sum 'Ba4 Na4 Tb4 Bi4 O24'
_space_group_name_H-M_alt 'P n n n'
_space_group_IT_number 48
_cell_length_a 8.6074
_cell_length_b 8.6800
_cell_length_c 8.6806
_cell_angle_alpha 90.00
_cell_angle_beta 90.00
_cell_angle_gamma 90.00
loop_
_space_group_symop_operation_xyz
'x,y,z'
'-x,-y,-z'
'-x+1/2,-y+1/2,z'
'x+1/2,y+1/2,-z'
'x,-y+1/2,-z+1/2'
'-x,y+1/2,z+1/2'
'-x+1/2,y,-z+1/2'
'x+1/2,-y,z+1/2'
loop_
_atom_site_label
_atom_site_type_symbol
_atom_site_fract_x
_atom_site_fract_y
_atom_site_fract_z
Ba1 Ba 0.2500 0.2500 0.2500
Ba2 Ba 0.2500 0.7500 0.2500
Na1 Na 0.2500 0.2500 0.7500
Na2 Na 0.2500 0.7500 0.7500
Tb1 Tb 0.0000 0.0000 0.0000
Bi1 Bi 0.0000 0.0000 0.5000
O1 O 0.0213 0.0351 0.7423
O2 O 0.0318 0.7423 0.9697
O3 O 0.2433 0.0234 0.4642
```

Top 8 peaks for 2θ from 10° to 90°, most intense first:
2θ/deg  I/Imax
29.2  100
29.1  51
51.7  45
41.6  29
20.5  28
51.9  22
68.4  19
60.6  18

(3)
Simulated powder XRD pattern of Y6Mn11S20 for copper Kα, from a GGA-PBE-relaxed structure.

```
data_Y6Mn11S20
_chemical_formula_sum 'Y18 Mn33 S60'
_space_group_name_H-M_alt 'R -3 m'
_space_group_IT_number 166
_space_group_name_Hall '-R 3 2"'
_cell_length_a 3.8435
_cell_length_b 3.8435
_cell_length_c 179.8448
_cell_angle_alpha 90.00
_cell_angle_beta 90.00
_cell_angle_gamma 120.00
loop_
_atom_site_label
_atom_site_type_symbol
_atom_site_fract_x
_atom_site_fract_y
_atom_site_fract_z
Y1 Y 0.0000 0.0000 0.1007
Y2 Y 0.0000 0.0000 0.1517
Y3 Y 0.0000 0.0000 0.2017
Mn1 Mn 0.0000 0.0000 0.0000
Mn2 Mn 0.0000 0.0000 0.0500
Mn3 Mn 0.0000 0.0000 0.2507
Mn4 Mn 0.0000 0.0000 0.3000
Mn5 Mn 0.0000 0.0000 0.3500
Mn6 Mn 0.0000 0.0000 0.3998
S1 S 0.0000 0.0000 0.0250
S2 S 0.0000 0.0000 0.0745
S3 S 0.0000 0.0000 0.1242
S4 S 0.0000 0.0000 0.1743
S5 S 0.0000 0.0000 0.2253
S6 S 0.0000 0.0000 0.2752
S7 S 0.0000 0.0000 0.3250
S8 S 0.0000 0.0000 0.3749
S9 S 0.0000 0.0000 0.4237
S10 S 0.0000 0.0000 0.4749
```

Top 8 peaks for 2θ from 10° to 90°, most intense first:
2θ/deg  I/Imax
33.5  100
47.3  37
48.9  27
59.2  17
79.0  14
28.6  11
89.2  9
81.4  9